(1)
Calculated X-ray powder pattern
Compound: HfZnNi2
Radiation: Cu Kα, 1.54184 Å
Structure: a DFT-relaxed cell (GGA-PBE, OQMD)
Lines closer than 0.1° are merged.

Peak list (10 most intense, 10 to 90 degrees two-theta, most intense first)
2θ/deg	d [Å]	I_rel
42.64	2.120	100
40.84	2.209	57
75.61	1.258	35
32.59	2.748	20
59.14	1.562	19
15.35	5.773	18
79.29	1.208	15
28.57	3.125	14
64.57	1.443	7
88.51	1.105	6

Structure:
Cell: 3.1245 3.1245 5.7732 Å, 90.00 90.00 90.00°
Sites, in units of the cell vectors:
Hf 0.0000 0.0000 0.0000
Zn 0.0000 0.0000 0.5000
Ni 0.5000 0.5000 0.2659
Ni 0.5000 0.5000 0.7341

=====

(2)
Calculated X-ray powder pattern
Compound: Hf2ZnNi3
Radiation: Cu Kα, 1.54184 Å
Structure: a DFT-relaxed cell (GGA-PBE, OQMD)
Lines closer than 0.1° are merged.

Peak list (10 most intense, 10 to 90 degrees two-theta, most intense first)
2θ/deg	d [Å]	I_rel
42.96	2.105	100
38.74	2.324	71
73.03	1.296	40
29.26	3.052	38
55.94	1.644	25
21.62	4.111	17
81.54	1.181	12
44.79	2.023	10
64.38	1.447	9
83.10	1.162	8

Structure:
Cell: 3.2873 3.2873 8.2226 Å, 90.00 90.00 90.00°
Sites, in units of the cell vectors:
Hf 0.0000 0.0000 0.0000
Hf 0.5000 0.5000 0.4695
Zn 0.0000 0.0000 0.6673
Ni 0.0000 0.0000 0.3262
Ni 0.5000 0.5000 0.1533
Ni 0.5000 0.5000 0.8163

=====

(3)
Calculated X-ray powder pattern
Compound: Hf3ZrNi2
Radiation: Cu Kα, 1.54184 Å
Structure: a DFT-relaxed cell (GGA-PBE, OQMD)
Lines closer than 0.1° are merged.

Peak list (10 most intense, 10 to 90 degrees two-theta, most intense first)
2θ/deg	d [Å]	I_rel
35.39	2.537	100
35.93	2.499	80
44.73	2.026	38
62.53	1.485	33
34.35	2.610	26
44.25	2.047	23
44.92	2.018	21
62.20	1.492	20
39.95	2.257	19
71.34	1.322	15

Structure:
Cell: 6.4286 5.1944 5.2889 Å, 75.64 51.52 52.85°
Sites, in units of the cell vectors:
Hf 0.0000 0.0000 0.0000
Hf 0.5006 0.8271 0.1729
Hf 0.8271 0.5006 0.4994
Zr 0.3267 0.3267 0.6733
Ni 0.4153 0.4153 0.0847
Ni 0.9153 0.9153 0.5847